[1]
The following is a theoretical XRD peak list of Na5B8C2. It was derived from a PBE-relaxed structure, using Cu Kα.
Kinematic intensities with the Lorentz-polarization factor, no thermal factor.

a = 9.157 Å, b = 9.157 Å, c = 13.677 Å
α = 112.19°, β = 112.19°, γ = 17.71°
Fractional coordinates of all 30 atoms:
1 Na 0.000 0.000 0.000
2 Na 0.000 0.000 0.495
3 Na 0.200 0.200 0.395
4 Na 0.201 0.201 0.896
5 Na 0.399 0.399 0.794
6 Na 0.400 0.400 0.297
7 Na 0.599 0.599 0.694
8 Na 0.601 0.601 0.198
9 Na 0.799 0.799 0.098
10 Na 0.800 0.800 0.592
11 B 0.033 0.033 0.811
12 B 0.041 0.041 0.329
13 B 0.164 0.164 0.077
14 B 0.223 0.223 0.691
15 B 0.230 0.230 0.209
16 B 0.362 0.362 0.470
17 B 0.369 0.369 0.987
18 B 0.428 0.428 0.601
19 B 0.433 0.433 0.115
20 B 0.575 0.575 0.897
21 B 0.633 0.633 0.511
22 B 0.764 0.764 0.774
23 B 0.770 0.770 0.288
24 B 0.827 0.827 0.900
25 B 0.970 0.970 0.685
26 B 0.974 0.974 0.196
27 C 0.165 0.165 0.573
28 C 0.572 0.572 0.389
29 C 0.633 0.633 0.014
30 C 0.831 0.831 0.408

Largest 8 diffraction maxima, sorted by position, 2θ from 10° to 80°:
33.95 deg, 2.641 Å, intensity 14
36.11 deg, 2.487 Å, intensity 16
39.94 deg, 2.257 Å, intensity 24
40.04 deg, 2.252 Å, intensity 24
41.72 deg, 2.165 Å, intensity 37
41.88 deg, 2.157 Å, intensity 100
62.16 deg, 1.493 Å, intensity 17
76.27 deg, 1.248 Å, intensity 13

***

[2]
The following is a theoretical XRD peak list of Na4B7C. It was derived from a PBE-relaxed structure, using Cu Kα.
Kinematic intensities with the Lorentz-polarization factor, no thermal factor.

a = 5.975 Å, b = 5.117 Å, c = 9.168 Å
α = 90.00°, β = 108.87°, γ = 90.00°
Fractional coordinates of all 24 atoms:
1 Na 0.124 0.249 0.499
2 Na 0.124 0.751 0.999
3 Na 0.375 0.251 0.001
4 Na 0.375 0.749 0.501
5 Na 0.625 0.251 0.499
6 Na 0.625 0.749 0.999
7 Na 0.876 0.249 0.001
8 Na 0.876 0.751 0.501
9 B 0.000 0.078 0.750
10 B 0.000 0.431 0.750
11 B 0.000 0.569 0.250
12 B 0.000 0.922 0.250
13 B 0.252 0.082 0.251
14 B 0.252 0.918 0.751
15 B 0.263 0.434 0.250
16 B 0.263 0.566 0.750
17 B 0.500 0.102 0.750
18 B 0.500 0.898 0.250
19 B 0.737 0.434 0.250
20 B 0.737 0.566 0.750
21 B 0.748 0.082 0.249
22 B 0.748 0.918 0.749
23 C 0.500 0.420 0.750
24 C 0.500 0.580 0.250

Largest 8 diffraction maxima, sorted by position, 2θ from 10° to 80°:
34.77 deg, 2.580 Å, intensity 22
35.07 deg, 2.559 Å, intensity 9
40.69 deg, 2.217 Å, intensity 100
40.95 deg, 2.204 Å, intensity 53
41.65 deg, 2.169 Å, intensity 37
62.14 deg, 1.494 Å, intensity 9
62.72 deg, 1.481 Å, intensity 18
75.49 deg, 1.259 Å, intensity 13

***

[3]
The following is a theoretical XRD peak list of Na10B13C7. It was derived from a PBE-relaxed structure, using Cu Kα.
Kinematic intensities with the Lorentz-polarization factor, no thermal factor.

a = 7.598 Å, b = 7.598 Å, c = 10.262 Å
α = 121.76°, β = 121.76°, γ = 38.53°
Fractional coordinates of all 30 atoms:
1 Na 0.001 0.001 0.253
2 Na 0.198 0.200 0.747
3 Na 0.201 0.200 0.251
4 Na 0.399 0.403 0.253
5 Na 0.400 0.402 0.751
6 Na 0.597 0.601 0.747
7 Na 0.598 0.600 0.249
8 Na 0.800 0.799 0.749
9 Na 0.800 0.802 0.253
10 Na 0.999 0.999 0.747
11 B 0.048 0.361 0.000
12 B 0.184 0.816 0.500
13 B 0.220 0.578 0.000
14 B 0.366 0.034 0.500
15 B 0.422 0.780 0.000
16 B 0.558 0.231 0.500
17 B 0.561 0.237 0.000
18 B 0.639 0.952 0.000
19 B 0.763 0.439 0.000
20 B 0.769 0.442 0.500
21 B 0.832 0.168 0.500
22 B 0.854 0.146 0.000
23 B 0.966 0.634 0.500
24 C 0.031 0.375 0.500
25 C 0.163 0.837 0.000
26 C 0.231 0.566 0.500
27 C 0.365 0.035 0.000
28 C 0.434 0.769 0.500
29 C 0.625 0.969 0.500
30 C 0.965 0.635 0.000

Largest 8 diffraction maxima, sorted by position, 2θ from 10° to 80°:
35.82 deg, 2.507 Å, intensity 9
36.07 deg, 2.490 Å, intensity 18
41.81 deg, 2.160 Å, intensity 51
42.03 deg, 2.150 Å, intensity 100
42.45 deg, 2.130 Å, intensity 38
56.89 deg, 1.619 Å, intensity 10
64.53 deg, 1.444 Å, intensity 17
65.01 deg, 1.435 Å, intensity 9

***

[4]
The following is a theoretical XRD peak list of Na5B8C2. It was derived from a PBE-relaxed structure, using Cu Kα.
Kinematic intensities with the Lorentz-polarization factor, no thermal factor.

a = 11.729 Å, b = 11.729 Å, c = 10.105 Å
α = 106.05°, β = 106.05°, γ = 13.95°
Fractional coordinates of all 30 atoms:
1 Na 0.000 0.000 0.000
2 Na 0.100 0.100 0.699
3 Na 0.200 0.200 0.401
4 Na 0.300 0.300 0.100
5 Na 0.400 0.400 0.800
6 Na 0.500 0.500 0.496
7 Na 0.600 0.600 0.201
8 Na 0.701 0.701 0.899
9 Na 0.799 0.799 0.603
10 Na 0.900 0.900 0.297
11 B 0.011 0.011 0.271
12 B 0.081 0.081 0.411
13 B 0.121 0.121 0.991
14 B 0.185 0.185 0.120
15 B 0.214 0.214 0.678
16 B 0.283 0.283 0.816
17 B 0.376 0.376 0.501
18 B 0.416 0.416 0.083
19 B 0.519 0.519 0.787
20 B 0.582 0.582 0.913
21 B 0.621 0.621 0.491
22 B 0.722 0.722 0.194
23 B 0.788 0.788 0.325
24 B 0.823 0.823 0.897
25 B 0.915 0.915 0.579
26 B 0.978 0.978 0.705
27 C 0.317 0.317 0.382
28 C 0.480 0.480 0.210
29 C 0.683 0.683 0.614
30 C 0.885 0.885 0.021

Largest 8 diffraction maxima, sorted by position, 2θ from 10° to 80°:
34.17 deg, 2.624 Å, intensity 12
35.86 deg, 2.504 Å, intensity 17
40.17 deg, 2.245 Å, intensity 25
40.33 deg, 2.236 Å, intensity 25
41.73 deg, 2.165 Å, intensity 100
41.96 deg, 2.153 Å, intensity 37
62.28 deg, 1.491 Å, intensity 18
77.79 deg, 1.228 Å, intensity 9

***

[5]
The following is a theoretical XRD peak list of Na10B13C7. It was derived from a PBE-relaxed structure, using Cu Kα.
Kinematic intensities with the Lorentz-polarization factor, no thermal factor.

a = 8.520 Å, b = 12.725 Å, c = 12.725 Å
α = 12.81°, β = 90.00°, γ = 90.00°
Fractional coordinates of all 30 atoms:
1 Na 0.246 0.000 0.000
2 Na 0.248 0.600 0.600
3 Na 0.250 0.800 0.800
4 Na 0.251 0.200 0.200
5 Na 0.252 0.400 0.400
6 Na 0.748 0.400 0.400
7 Na 0.749 0.200 0.200
8 Na 0.750 0.800 0.800
9 Na 0.752 0.600 0.600
10 Na 0.754 0.000 0.000
11 B 0.000 0.073 0.073
12 B 0.000 0.266 0.266
13 B 0.000 0.461 0.461
14 B 0.000 0.533 0.533
15 B 0.000 0.670 0.670
16 B 0.000 0.863 0.863
17 B 0.500 0.127 0.127
18 B 0.500 0.330 0.330
19 B 0.500 0.533 0.533
20 B 0.500 0.667 0.667
21 B 0.500 0.736 0.736
22 B 0.500 0.869 0.869
23 B 0.500 0.939 0.939
24 C 0.000 0.137 0.137
25 C 0.000 0.332 0.332
26 C 0.000 0.735 0.735
27 C 0.000 0.929 0.929
28 C 0.500 0.064 0.064
29 C 0.500 0.267 0.267
30 C 0.500 0.469 0.469

Largest 8 diffraction maxima, sorted by position, 2θ from 10° to 80°:
35.49 deg, 2.529 Å, intensity 10
36.29 deg, 2.475 Å, intensity 18
41.52 deg, 2.175 Å, intensity 51
42.23 deg, 2.140 Å, intensity 100
42.44 deg, 2.130 Å, intensity 38
57.04 deg, 1.615 Å, intensity 10
64.26 deg, 1.450 Å, intensity 17
77.49 deg, 1.232 Å, intensity 13

***

[6]
The following is a theoretical XRD peak list of Na10B17C3. It was derived from a PBE-relaxed structure, using Cu Kα.
Kinematic intensities with the Lorentz-polarization factor, no thermal factor.

a = 9.189 Å, b = 9.189 Å, c = 13.770 Å
α = 111.74°, β = 111.74°, γ = 17.70°
Fractional coordinates of all 30 atoms:
1 Na 0.000 0.000 0.000
2 Na 0.000 0.000 0.499
3 Na 0.199 0.199 0.398
4 Na 0.199 0.199 0.898
5 Na 0.399 0.399 0.298
6 Na 0.400 0.400 0.798
7 Na 0.600 0.600 0.199
8 Na 0.601 0.601 0.699
9 Na 0.799 0.799 0.099
10 Na 0.799 0.799 0.599
11 B 0.035 0.035 0.818
12 B 0.038 0.038 0.326
13 B 0.162 0.162 0.073
14 B 0.169 0.169 0.587
15 B 0.226 0.226 0.204
16 B 0.235 0.235 0.719
17 B 0.367 0.367 0.983
18 B 0.369 0.369 0.487
19 B 0.430 0.430 0.109
20 B 0.431 0.431 0.612
21 B 0.574 0.574 0.897
22 B 0.629 0.629 0.506
23 B 0.765 0.765 0.280
24 B 0.824 0.824 0.898
25 B 0.829 0.829 0.407
26 B 0.972 0.972 0.693
27 B 0.973 0.973 0.194
28 C 0.569 0.569 0.387
29 C 0.633 0.633 0.014
30 C 0.766 0.766 0.782

Largest 8 diffraction maxima, sorted by position, 2θ from 10° to 80°:
33.56 deg, 2.671 Å, intensity 16
35.94 deg, 2.499 Å, intensity 19
39.62 deg, 2.275 Å, intensity 57
41.67 deg, 2.168 Å, intensity 100
41.72 deg, 2.165 Å, intensity 57
61.56 deg, 1.507 Å, intensity 21
76.01 deg, 1.252 Å, intensity 15
77.06 deg, 1.238 Å, intensity 20